Starting from a PBE-relaxed structure, the powder X-ray diffraction pattern of Tb2PrDy2Mg was simulated for Cu Kα.
Kinematic intensities with the Lorentz-polarization factor, no thermal factor.

Structure:
```
Tb2PrDy2Mg
1.0
3.6827 0.0000 0.0000
0.0000 5.5587 0.0000
0.0000 0.0000 18.6458
Tb Pr Dy Mg
4 2 4 2
Direct
0.0000 0.0000 0.1835
0.0000 0.0000 0.8165
0.5000 0.5000 0.3165
0.5000 0.5000 0.6835
0.0000 0.5000 0.5000
0.5000 0.0000 0.0000
0.0000 0.0000 0.3648
0.0000 0.0000 0.6352
0.5000 0.5000 0.1352
0.5000 0.5000 0.8648
0.0000 0.5000 0.0000
0.5000 0.0000 0.5000
```

Peak list (12 most intense, 2θ = 10–80°, low angle first)
d 3.108, I = 48
d 3.097, I = 91
d 3.070, I = 68
d 2.916, I = 97
d 2.779, I = 78
d 2.564, I = 100
d 2.158, I = 28
d 2.072, I = 30
d 1.705, I = 27
d 1.621, I = 27
d 1.583, I = 38
d 1.535, I = 26



Starting from a PBE-relaxed structure, the powder X-ray diffraction pattern of La4Tb2Pm3 was simulated for Cu Kα.
Kinematic intensities with the Lorentz-polarization factor, no thermal factor.

Structure:
```
La4Tb2Pm3
1.0
3.6531 0.0000 0.0000
-1.8266 3.1637 0.0000
0.0000 0.0000 27.5136
La Tb Pm
4 2 3
Direct
0.0000 0.0000 0.0000
0.0000 0.0000 0.2204
0.3333 0.6667 0.3349
0.3333 0.6667 0.5572
0.0000 0.0000 0.6651
0.0000 0.0000 0.8749
0.0000 0.0000 0.4449
0.3333 0.6667 0.1086
0.3333 0.6667 0.7722
```

Peak list (12 most intense, 2θ = 10–80°, low angle first)
d 3.164, I = 54
d 3.057, I = 58
d 2.874, I = 81
d 2.743, I = 100
d 2.604, I = 15
d 2.198, I = 36
d 1.827, I = 42
d 1.759, I = 13
d 1.669, I = 27
d 1.568, I = 48
d 1.542, I = 12
d 1.520, I = 18



Starting from a PBE-relaxed structure, the powder X-ray diffraction pattern of Ce2Sb4Pd3 was simulated for Cu Kα.
Kinematic intensities with the Lorentz-polarization factor, no thermal factor.

Structure:
```
Ce2Sb4Pd3
1.0
3.1790 -7.8084 0.0000
3.1790 7.8084 0.0000
0.0000 0.0000 8.2099
Ce Sb Pd
4 8 6
Direct
0.1160 0.8840 0.9240
0.3840 0.6160 0.4240
0.6160 0.3840 0.5760
0.8840 0.1160 0.0760
0.1820 0.8180 0.5391
0.2024 0.2976 0.7500
0.2976 0.2024 0.2500
0.3180 0.6820 0.0391
0.6820 0.3180 0.9609
0.7024 0.7976 0.7500
0.7976 0.7024 0.2500
0.8180 0.1820 0.4609
0.0000 0.0000 0.5000
0.0280 0.4720 0.7500
0.4720 0.0280 0.2500
0.5000 0.5000 0.0000
0.5280 0.9720 0.7500
0.9720 0.5280 0.2500
```

Peak list (12 most intense, 2θ = 10–80°, low angle first)
d 2.875, I = 16
d 2.829, I = 17
d 2.771, I = 43
d 2.653, I = 72
d 2.583, I = 45
d 2.513, I = 100
d 2.481, I = 34
d 2.465, I = 22
d 1.957, I = 21
d 1.715, I = 19
d 1.622, I = 21
d 1.589, I = 17



Starting from a PBE-relaxed structure, the powder X-ray diffraction pattern of Ce3NdGe3 was simulated for Cu Kα.
Kinematic intensities with the Lorentz-polarization factor, no thermal factor.

Structure:
```
Ce3NdGe3
1.0
8.8877 0.0000 0.0000
-4.4439 7.6970 0.0000
0.0000 0.0000 5.3917
Ce Nd Ge
6 2 6
Direct
0.0012 0.7414 0.2500
0.2586 0.2598 0.2500
0.2598 0.0012 0.7500
0.7402 0.9988 0.2500
0.7414 0.7402 0.7500
0.9988 0.2586 0.7500
0.3333 0.6667 0.2500
0.6667 0.3333 0.7500
0.0535 0.6282 0.7500
0.3718 0.4253 0.7500
0.4253 0.0535 0.2500
0.5747 0.9465 0.7500
0.6282 0.5747 0.2500
0.9465 0.3718 0.2500
```

Peak list (12 most intense, 2θ = 10–80°, low angle first)
d 4.416, I = 6
d 3.429, I = 11
d 3.132, I = 10
d 2.909, I = 16
d 2.696, I = 29
d 2.561, I = 100
d 1.977, I = 10
d 1.859, I = 16
d 1.679, I = 20
d 1.529, I = 16
d 1.426, I = 6
d 1.339, I = 12



Copy entry 4 word for word.
Starting from a PBE-relaxed structure, the powder X-ray diffraction pattern of Ce3NdGe3 was simulated for Cu Kα.
Kinematic intensities with the Lorentz-polarization factor, no thermal factor.

Structure:
```
Ce3NdGe3
1.0
8.8877 0.0000 0.0000
-4.4439 7.6970 0.0000
0.0000 0.0000 5.3917
Ce Nd Ge
6 2 6
Direct
0.0012 0.7414 0.2500
0.2586 0.2598 0.2500
0.2598 0.0012 0.7500
0.7402 0.9988 0.2500
0.7414 0.7402 0.7500
0.9988 0.2586 0.7500
0.3333 0.6667 0.2500
0.6667 0.3333 0.7500
0.0535 0.6282 0.7500
0.3718 0.4253 0.7500
0.4253 0.0535 0.2500
0.5747 0.9465 0.7500
0.6282 0.5747 0.2500
0.9465 0.3718 0.2500
```

Peak list (12 most intense, 2θ = 10–80°, low angle first)
d 4.416, I = 6
d 3.429, I = 11
d 3.132, I = 10
d 2.909, I = 16
d 2.696, I = 29
d 2.561, I = 100
d 1.977, I = 10
d 1.859, I = 16
d 1.679, I = 20
d 1.529, I = 16
d 1.426, I = 6
d 1.339, I = 12